(1)
# TbCo4Si2
Simulated powder X-ray diffraction pattern, Cu Kα, 1.54184 Å. Input: a cell relaxed with GGA-PBE.

Largest 10 diffraction maxima, low angle first, 15° ≤ 2θ ≤ 90°:
Position (°2θ), I_rel, h k l
24.87, 20, 2 0 0
27.70, 23, 1 0 1
37.57, 100, 2 1 1
39.81, 47, 3 1 0
43.69, 22, 2 2 1
47.41, 24, 3 1 1
50.63, 19, 0 0 2
59.04, 19, 4 1 1
66.27, 20, 3 1 2
70.80, 25, 4 3 1

Crystal structure
```
data_TbCo4Si2
_chemical_formula_sum 'Tb2 Co8 Si4'
_symmetry_space_group_name_H-M 'P 42/m n m'
_symmetry_Int_Tables_number 136
_symmetry_space_group_name_Hall '-P 4n 2n'
_cell_length_a 7.160
_cell_length_b 7.160
_cell_length_c 3.606
_cell_angle_alpha 90.00
_cell_angle_beta 90.00
_cell_angle_gamma 90.00
loop_
_atom_site_label
_atom_site_type_symbol
_atom_site_fract_x
_atom_site_fract_y
_atom_site_fract_z
Tb1 Tb 0.000 0.000 0.000
Co1 Co 0.080 0.348 0.500
Si1 Si 0.225 0.775 0.500
```

***

(2)
# LuPaV2
Simulated powder X-ray diffraction pattern, Cu Kα, 1.54184 Å. Input: a cell relaxed with GGA-PBE.

Largest 10 diffraction maxima, low angle first, 15° ≤ 2θ ≤ 90°:
Position (°2θ), I_rel, h k l
20.35, 45, 0 0 6
32.42, 42, 0 1 2
34.58, 100, 1 0 4
41.39, 19, 0 0 12
42.26, 56, 0 1 8
47.34, 17, 1 0 10
56.42, 25, 1 1 0
60.61, 16, 1 1 6
67.89, 14, 0 2 4
72.34, 22, 1 1 12

Crystal structure
```
data_LuPaV2
_chemical_formula_sum 'Lu3 Pa3 V6'
_symmetry_space_group_name_H-M 'R -3 m'
_symmetry_Int_Tables_number 166
_symmetry_space_group_name_Hall '-R 3 2"'
_cell_length_a 3.2619
_cell_length_b 3.2619
_cell_length_c 26.1790
_cell_angle_alpha 90.00
_cell_angle_beta 90.00
_cell_angle_gamma 120.00
loop_
_atom_site_label
_atom_site_type_symbol
_atom_site_fract_x
_atom_site_fract_y
_atom_site_fract_z
Lu1 Lu 0.0000 0.0000 0.0000
Pa1 Pa 0.0000 0.0000 0.5000
V1 V 0.0000 0.0000 0.2412
```

***

(3)
# La4Nd3
Simulated powder X-ray diffraction pattern, Cu Kα, 1.54184 Å. Input: a cell relaxed with GGA-PBE.

Largest 10 diffraction maxima, low angle first, 15° ≤ 2θ ≤ 90°:
Position (°2θ), I_rel, h k l
29.48, 100, 1 1 0
34.17, 51, 1 0 7
49.10, 36, 2 0 0
58.29, 29, 2 1 7
58.36, 14, 1 1 14
61.18, 13, 2 2 0
72.02, 4, 2 0 14
79.61, 15, 3 1 0
82.09, 8, 3 0 7
82.19, 8, 2 2 14

Crystal structure
```
data_La4Nd3
_chemical_formula_sum 'La8 Nd6'
_symmetry_space_group_name_H-M 'I m m m'
_symmetry_Int_Tables_number 71
_symmetry_space_group_name_Hall '-I 2 2'
_cell_length_a 3.711
_cell_length_b 5.254
_cell_length_c 25.946
_cell_angle_alpha 90.00
_cell_angle_beta 90.00
_cell_angle_gamma 90.00
loop_
_atom_site_label
_atom_site_type_symbol
_atom_site_fract_x
_atom_site_fract_y
_atom_site_fract_z
La1 La 0.000 0.000 0.071
La2 La 0.000 0.000 0.214
Nd1 Nd 0.000 0.000 0.357
Nd2 Nd 0.000 0.000 0.500
```

***

What did the second record say?
# LuPaV2
Simulated powder X-ray diffraction pattern, Cu Kα, 1.54184 Å. Input: a cell relaxed with GGA-PBE.

Largest 10 diffraction maxima, low angle first, 15° ≤ 2θ ≤ 90°:
Position (°2θ), I_rel, h k l
20.35, 45, 0 0 6
32.42, 42, 0 1 2
34.58, 100, 1 0 4
41.39, 19, 0 0 12
42.26, 56, 0 1 8
47.34, 17, 1 0 10
56.42, 25, 1 1 0
60.61, 16, 1 1 6
67.89, 14, 0 2 4
72.34, 22, 1 1 12

Crystal structure
```
data_LuPaV2
_chemical_formula_sum 'Lu3 Pa3 V6'
_symmetry_space_group_name_H-M 'R -3 m'
_symmetry_Int_Tables_number 166
_symmetry_space_group_name_Hall '-R 3 2"'
_cell_length_a 3.2619
_cell_length_b 3.2619
_cell_length_c 26.1790
_cell_angle_alpha 90.00
_cell_angle_beta 90.00
_cell_angle_gamma 120.00
loop_
_atom_site_label
_atom_site_type_symbol
_atom_site_fract_x
_atom_site_fract_y
_atom_site_fract_z
Lu1 Lu 0.0000 0.0000 0.0000
Pa1 Pa 0.0000 0.0000 0.5000
V1 V 0.0000 0.0000 0.2412
```